1.
This entry pairs a crystal structure of CrSn3Se6 with its calculated powder XRD pattern. Radiation: Cu Kα (weighted mean of Kα1 and Kα2). Structure: a structure optimized by DFT (PBE).

Principal peaks in the range 10 to 90 degrees two-theta, low angle first:
hkl  d/Å  I_rel
0 1 2  5.073  40
1 0 4  3.724  51
1 1 0  3.465  21
2 -1 3  3.039  100
0 2 4  2.537  43
1 1 6  2.337  86
0 1 8  2.207  18
2 1 4  2.047  38
3 0 0  2.000  62
2 -1 9  1.803  28

Crystal structure
Unit cell a=6.9292 b=6.9292 c=18.9962 alpha=90.00 beta=90.00 gamma=120.00
Space group R3 (No. 146, hexagonal axes)
One atom of each set of equivalent atoms:
Cr 0.0000 0.0000 0.0000
Sn 0.0000 0.0000 0.2044
Sn 0.0000 0.0000 0.4803
Sn 0.0000 0.0000 0.6800
Se 0.0571 0.3447 0.5920
Se 0.0605 0.6859 0.7517

---

2.
This entry pairs a crystal structure of SrAgBr4 with its calculated powder XRD pattern. Radiation: Cu Kα (weighted mean of Kα1 and Kα2). Structure: a structure optimized by DFT (PBE).

Principal peaks in the range 10 to 90 degrees two-theta, low angle first:
hkl  d/Å  I_rel
1 0 1  5.332  88
0 0 2  3.877  65
1 1 2  3.107  47
2 1 1  3.024  45
2 0 2  2.666  71
2 2 0  2.596  100
2 2 2  2.157  51
3 1 2  1.992  26
4 0 0  1.836  35
2 2 4  1.553  40

Crystal structure
Unit cell a=7.3439 b=7.3439 c=7.7538 alpha=90.00 beta=90.00 gamma=90.00
Space group I-4 (No. 82)
One atom of each set of equivalent atoms:
Sr 0.0000 0.0000 0.0000
Ag 0.0000 0.5000 0.7500
Br 0.2481 0.7505 0.2507

---

3.
This entry pairs a crystal structure of Pu2TeH with its calculated powder XRD pattern. Radiation: Cu Kα (weighted mean of Kα1 and Kα2). Structure: a structure optimized by DFT (PBE).

Principal peaks in the range 10 to 90 degrees two-theta, low angle first:
hkl  d/Å  I_rel
1 0 1  3.394  20
0 1 2  3.255  54
1 0 4  2.833  100
0 1 5  2.605  49
0 0 9  2.213  19
0 1 8  2.018  17
1 1 0  1.988  47
0 2 4  1.627  20
1 1 9  1.479  33
2 1 4  1.259  17

Crystal structure
Unit cell a=3.9768 b=3.9768 c=19.9180 alpha=90.00 beta=90.00 gamma=120.00
Space group R-3m (No. 166, hexagonal axes)
One atom of each set of equivalent atoms:
Pu 0.0000 0.0000 0.2286
Te 0.0000 0.0000 0.0000
H 0.0000 0.0000 0.5000

---

4.
This entry pairs a crystal structure of AcZrPd with its calculated powder XRD pattern. Radiation: Cu Kα (weighted mean of Kα1 and Kα2). Structure: a structure optimized by DFT (PBE).

Principal peaks in the range 10 to 90 degrees two-theta, low angle first:
hkl  d/Å  I_rel
1 0 1  3.443  32
0 0 4  3.084  20
1 0 3  2.702  100
1 1 0  2.535  52
1 1 4  1.958  23
2 0 0  1.793  18
1 1 6  1.597  11
1 0 7  1.582  20
2 1 3  1.494  33
2 1 7  1.186  16

Crystal structure
Unit cell a=3.5851 b=3.5851 c=12.3364 alpha=90.00 beta=90.00 gamma=90.00
Space group I4mm (No. 107)
One atom of each set of equivalent atoms:
Ac 0.0000 0.0000 0.0000
Zr 0.0000 0.0000 0.2900
Pd 0.0000 0.0000 0.6929

---

5.
This entry pairs a crystal structure of Tb6Dy8Al with its calculated powder XRD pattern. Radiation: Cu Kα (weighted mean of Kα1 and Kα2). Structure: a structure optimized by DFT (PBE).

Principal peaks in the range 10 to 90 degrees two-theta, low angle first:
hkl  d/Å  I_rel
0 0 2  3.111  20
1 2 0  3.061  25
0 1 2  2.904  8
3 -1 1  2.747  100
1 1 2  2.590  14
1 2 2  2.182  12
4 1 0  1.767  17
3 -2 3  1.717  11
5 -4 2  1.537  13
2 4 1  1.486  13

Crystal structure
Unit cell a=9.3513 b=9.3513 c=6.2224 alpha=90.00 beta=90.00 gamma=120.00
Space group P-3 (No. 147)
One atom of each set of equivalent atoms:
Tb 0.0929 0.6380 0.1882
Dy 0.0409 0.7802 0.6971
Dy 0.3333 0.6667 0.6870
Al 0.0000 0.0000 0.0000

---

6.
This entry pairs a crystal structure of Mg2H2Ir5 with its calculated powder XRD pattern. Radiation: Cu Kα (weighted mean of Kα1 and Kα2). Structure: a structure optimized by DFT (PBE).

Principal peaks in the range 10 to 90 degrees two-theta, low angle first:
hkl  d/Å  I_rel
0 1 0  4.380  17
0 1 1  3.882  23
1 1 0  3.603  25
1 1 -2  2.322  100
1 2 1  2.292  98
0 1 3  2.033  31
0 2 -1  1.985  32
2 1 0  1.976  33
2 3 -1  1.401  21
3 0 -1  1.193  24

Crystal structure
Unit cell a=3.9523 b=4.8468 c=6.4514 alpha=82.38 beta=89.89 gamma=65.95
Space group P1 (No. 1)
One atom of each set of equivalent atoms:
Mg 0.0000 0.0000 0.0000
Mg 0.1423 0.7186 0.4557
H 0.6069 0.7907 0.3202
H 0.8984 0.2022 0.3297
Ir 0.2837 0.4317 0.8582
Ir 0.4060 0.1876 0.2937
Ir 0.5674 0.8668 0.7241
Ir 0.7129 0.5730 0.1149
Ir 0.8595 0.2822 0.6013

---

Repeat the fourth record exactly.
This entry pairs a crystal structure of AcZrPd with its calculated powder XRD pattern. Radiation: Cu Kα (weighted mean of Kα1 and Kα2). Structure: a structure optimized by DFT (PBE).

Principal peaks in the range 10 to 90 degrees two-theta, low angle first:
hkl  d/Å  I_rel
1 0 1  3.443  32
0 0 4  3.084  20
1 0 3  2.702  100
1 1 0  2.535  52
1 1 4  1.958  23
2 0 0  1.793  18
1 1 6  1.597  11
1 0 7  1.582  20
2 1 3  1.494  33
2 1 7  1.186  16

Crystal structure
Unit cell a=3.5851 b=3.5851 c=12.3364 alpha=90.00 beta=90.00 gamma=90.00
Space group I4mm (No. 107)
One atom of each set of equivalent atoms:
Ac 0.0000 0.0000 0.0000
Zr 0.0000 0.0000 0.2900
Pd 0.0000 0.0000 0.6929